This entry pairs a crystal structure of ErCo2B4Rh2 with its simulated X-ray powder pattern. Radiation: Cu Kα. Structure: a structure optimized by DFT (GGA-PBE).
Intensities are scaled so that the largest is 1000.

```
ErCo2B4Rh2
1.0
5.2008 0.0000 0.0000
0.0000 5.2008 0.0000
0.0000 0.0000 7.1986
Er Co B Rh
2 4 8 4
Direct
0.0000 0.5000 0.0000
0.5000 0.0000 0.5000
0.0000 0.2518 0.3509
0.0000 0.7482 0.3509
0.2518 0.0000 0.8509
0.7482 0.0000 0.8509
0.0000 0.1642 0.6489
0.0000 0.8358 0.6489
0.1642 0.0000 0.1489
0.3165 0.5000 0.3376
0.5000 0.3165 0.8376
0.5000 0.6835 0.8376
0.6835 0.5000 0.3376
0.8358 0.0000 0.1489
0.2477 0.5000 0.6343
0.5000 0.2477 0.1343
0.5000 0.7523 0.1343
0.7523 0.5000 0.6343
```

Most intense lines, 10 to 90 degrees two-theta, in order of rising 2θ:
| d (Å) | Rel. int. |
| --- | --- |
| 3.678 | 289 |
| 2.960 | 281 |
| 2.600 | 149 |
| 2.572 | 282 |
| 2.446 | 516 |
| 2.213 | 1000 |
| 2.179 | 631 |
| 1.953 | 232 |
| 1.637 | 154 |
| 1.414 | 226 |
| 1.405 | 161 |
| 1.286 | 248 |

---

This entry pairs a crystal structure of FeCo2B with its simulated X-ray powder pattern. Radiation: Cu Kα. Structure: a structure optimized by DFT (GGA-PBE).
Intensities are scaled so that the largest is 1000.

```
FeCo2B
1.0
5.2028 0.0000 0.0000
0.0000 6.5716 0.0000
0.0000 0.0000 4.3524
Fe Co B
4 8 4
Direct
0.0282 0.2500 0.1306
0.4718 0.7500 0.6306
0.5282 0.2500 0.3694
0.9718 0.7500 0.8694
0.1859 0.0599 0.6472
0.1859 0.4401 0.6472
0.3141 0.5599 0.1472
0.3141 0.9401 0.1472
0.6859 0.0599 0.8528
0.6859 0.4401 0.8528
0.8141 0.5599 0.3528
0.8141 0.9401 0.3528
0.1168 0.7500 0.4291
0.3832 0.2500 0.9291
0.6168 0.7500 0.0709
0.8832 0.2500 0.5709
```

Most intense lines, 10 to 90 degrees two-theta, in order of rising 2θ:
| d (Å) | Rel. int. |
| --- | --- |
| 2.342 | 655 |
| 2.233 | 259 |
| 2.114 | 654 |
| 2.040 | 962 |
| 2.008 | 878 |
| 1.957 | 1000 |
| 1.920 | 699 |
| 1.847 | 483 |
| 1.831 | 515 |
| 1.713 | 408 |
| 1.611 | 354 |
| 1.153 | 402 |

---

This entry pairs a crystal structure of FeCoB2 with its simulated X-ray powder pattern. Radiation: Cu Kα. Structure: a structure optimized by DFT (GGA-PBE).
Intensities are scaled so that the largest is 1000.

```
FeCoB2
1.0
3.0097 0.0000 0.0000
0.0000 3.9594 0.0000
0.0000 0.0000 5.2801
Fe Co B
2 2 4
Direct
0.0000 0.1224 0.0000
0.0000 0.8776 0.5000
0.5000 0.3717 0.3557
0.5000 0.6283 0.8557
0.0000 0.3764 0.6428
0.0000 0.6236 0.1428
0.5000 0.1346 0.7122
0.5000 0.8654 0.2122
```

Most intense lines, 10 to 90 degrees two-theta, in order of rising 2θ:
| d (Å) | Rel. int. |
| --- | --- |
| 2.640 | 285 |
| 2.396 | 664 |
| 2.197 | 360 |
| 2.182 | 1000 |
| 1.985 | 678 |
| 1.854 | 654 |
| 1.774 | 338 |
| 1.608 | 268 |
| 1.578 | 262 |
| 1.505 | 226 |
| 1.205 | 255 |
| 1.168 | 252 |

---

This entry pairs a crystal structure of Fe4CoB2P with its simulated X-ray powder pattern. Radiation: Cu Kα. Structure: a structure optimized by DFT (GGA-PBE).
Intensities are scaled so that the largest is 1000.

```
Fe4CoB2P
1.0
-2.6758 2.6758 5.2321
2.6758 -2.6758 5.2321
2.6758 2.6758 -5.2321
Fe Co B P
8 2 4 2
Direct
0.0285 0.5285 0.8377
0.1908 0.0285 0.5000
0.3092 0.8092 0.8377
0.4715 0.3092 0.5000
0.5285 0.6908 0.5000
0.6908 0.1908 0.1623
0.8092 0.9715 0.5000
0.9715 0.4715 0.1623
0.0000 0.0000 0.0000
0.5000 0.5000 0.0000
0.1213 0.3787 0.5000
0.3787 0.8787 0.2575
0.6213 0.1213 0.7425
0.8787 0.6213 0.5000
0.2500 0.2500 0.0000
0.7500 0.7500 0.0000
```

Most intense lines, 10 to 90 degrees two-theta, in order of rising 2θ:
| d (Å) | Rel. int. |
| --- | --- |
| 2.616 | 134 |
| 2.382 | 107 |
| 2.333 | 644 |
| 2.152 | 458 |
| 1.973 | 1000 |
| 1.892 | 198 |
| 1.871 | 666 |
| 1.692 | 501 |
| 1.288 | 111 |
| 1.268 | 206 |
| 1.216 | 169 |
| 1.136 | 248 |

---

This entry pairs a crystal structure of Fe4CoSiB2 with its simulated X-ray powder pattern. Radiation: Cu Kα. Structure: a structure optimized by DFT (GGA-PBE).
Intensities are scaled so that the largest is 1000.

```
Fe4CoSiB2
1.0
-2.7377 2.7377 5.1450
2.7377 -2.7377 5.1450
2.7377 2.7377 -5.1450
Fe Co Si B
8 2 2 4
Direct
0.0291 0.5291 0.8321
0.1971 0.0291 0.5000
0.3029 0.8029 0.8321
0.4709 0.3029 0.5000
0.5291 0.6971 0.5000
0.6971 0.1971 0.1679
0.8029 0.9709 0.5000
0.9709 0.4709 0.1679
0.0000 0.0000 0.0000
0.5000 0.5000 0.0000
0.2500 0.2500 0.0000
0.7500 0.7500 0.0000
0.1210 0.3790 0.5000
0.3790 0.8790 0.2580
0.6210 0.1210 0.7420
0.8790 0.6210 0.5000
```

Most intense lines, 10 to 90 degrees two-theta, in order of rising 2θ:
| d (Å) | Rel. int. |
| --- | --- |
| 2.573 | 152 |
| 2.382 | 756 |
| 2.143 | 483 |
| 1.993 | 1000 |
| 1.936 | 194 |
| 1.875 | 653 |
| 1.731 | 565 |
| 1.317 | 118 |
| 1.260 | 197 |
| 1.238 | 154 |
| 1.208 | 124 |
| 1.154 | 275 |

---

This entry pairs a crystal structure of YFeCo3B with its simulated X-ray powder pattern. Radiation: Cu Kα. Structure: a structure optimized by DFT (GGA-PBE).
Intensities are scaled so that the largest is 1000.

```
YFeCo3B
1.0
5.0347 0.0000 0.0000
-2.5173 4.3602 0.0000
0.0000 0.0000 6.8251
Y Fe Co B
2 2 6 2
Direct
0.0000 0.0000 0.0000
0.0000 0.0000 0.5000
0.3333 0.6667 0.0000
0.6667 0.3333 0.0000
0.0000 0.5000 0.2860
0.0000 0.5000 0.7140
0.5000 0.0000 0.2860
0.5000 0.0000 0.7140
0.5000 0.5000 0.2860
0.5000 0.5000 0.7140
0.3333 0.6667 0.5000
0.6667 0.3333 0.5000
```

Most intense lines, 10 to 90 degrees two-theta, in order of rising 2θ:
| d (Å) | Rel. int. |
| --- | --- |
| 2.687 | 658 |
| 2.517 | 195 |
| 2.362 | 151 |
| 2.275 | 150 |
| 2.180 | 828 |
| 2.026 | 1000 |
| 1.837 | 188 |
| 1.706 | 153 |
| 1.484 | 202 |
| 1.344 | 161 |
| 1.337 | 236 |
| 1.259 | 245 |

---

This entry pairs a crystal structure of Gd3Co11B4 with its simulated X-ray powder pattern. Radiation: Cu Kα. Structure: a structure optimized by DFT (GGA-PBE).
Intensities are scaled so that the largest is 1000.

```
Gd3Co11B4
1.0
5.0651 0.0000 0.0000
-2.5325 4.3865 0.0000
0.0000 0.0000 9.7784
Gd Co B
3 11 4
Direct
0.0000 0.0000 0.0000
0.0000 0.0000 0.3424
0.0000 0.0000 0.6576
0.0000 0.5000 0.2026
0.0000 0.5000 0.5000
0.0000 0.5000 0.7974
0.3333 0.6667 0.0000
0.5000 0.0000 0.2026
0.5000 0.0000 0.5000
0.5000 0.0000 0.7974
0.5000 0.5000 0.2026
0.5000 0.5000 0.5000
0.5000 0.5000 0.7974
0.6667 0.3333 0.0000
0.3333 0.6667 0.3484
0.3333 0.6667 0.6516
0.6667 0.3333 0.3484
0.6667 0.3333 0.6516
```

Most intense lines, 10 to 90 degrees two-theta, in order of rising 2θ:
| d (Å) | Rel. int. |
| --- | --- |
| 4.386 | 229 |
| 2.616 | 1000 |
| 2.533 | 294 |
| 2.193 | 917 |
| 2.137 | 127 |
| 2.000 | 950 |
| 1.478 | 343 |
| 1.371 | 154 |
| 1.334 | 234 |
| 1.308 | 153 |
| 1.266 | 221 |
| 1.140 | 148 |

---

This entry pairs a crystal structure of GdCo3B2 with its simulated X-ray powder pattern. Radiation: Cu Kα. Structure: a structure optimized by DFT (GGA-PBE).
Intensities are scaled so that the largest is 1000.

```
GdCo3B2
1.0
5.0205 0.0000 0.0000
-2.5103 4.3479 0.0000
0.0000 0.0000 3.0134
Gd Co B
1 3 2
Direct
0.0000 0.0000 0.0000
0.0000 0.5000 0.5000
0.5000 0.0000 0.5000
0.5000 0.5000 0.5000
0.3333 0.6667 0.0000
0.6667 0.3333 0.0000
```

Most intense lines, 10 to 90 degrees two-theta, in order of rising 2θ:
| d (Å) | Rel. int. |
| --- | --- |
| 4.348 | 321 |
| 2.510 | 140 |
| 2.477 | 1000 |
| 2.174 | 866 |
| 1.929 | 577 |
| 1.643 | 52 |
| 1.507 | 97 |
| 1.443 | 363 |
| 1.306 | 155 |
| 1.255 | 154 |
| 1.238 | 261 |
| 1.120 | 161 |

---

This entry pairs a crystal structure of Gd4CoB13 with its simulated X-ray powder pattern. Radiation: Cu Kα. Structure: a structure optimized by DFT (GGA-PBE).
Intensities are scaled so that the largest is 1000.

```
Gd4CoB13
1.0
7.3780 0.0000 0.0000
0.0000 7.3780 0.0000
0.0000 0.0000 6.9984
Gd Co B
8 2 26
Direct
0.1818 0.3153 0.0000
0.1847 0.3182 0.5000
0.3153 0.8182 0.0000
0.3182 0.8153 0.5000
0.6818 0.1847 0.5000
0.6847 0.1818 0.0000
0.8153 0.6818 0.5000
0.8182 0.6847 0.0000
0.0000 0.0000 0.5000
0.5000 0.5000 0.0000
0.0000 0.0000 0.0000
0.0392 0.8308 0.2456
0.0392 0.8308 0.7544
0.0913 0.5913 0.2500
0.0913 0.5913 0.7500
0.1692 0.0392 0.2456
0.1692 0.0392 0.7544
0.3308 0.5392 0.2544
0.3308 0.5392 0.7456
0.4087 0.0913 0.2500
0.4087 0.0913 0.7500
0.4608 0.3308 0.2544
0.4608 0.3308 0.7456
0.5000 0.5000 0.5000
0.5392 0.6692 0.2544
0.5392 0.6692 0.7456
0.5913 0.9087 0.2500
0.5913 0.9087 0.7500
0.6692 0.4608 0.2544
0.6692 0.4608 0.7456
0.8308 0.9608 0.2456
0.8308 0.9608 0.7544
0.9087 0.4087 0.2500
0.9087 0.4087 0.7500
0.9608 0.1692 0.2456
0.9608 0.1692 0.7544
```

Most intense lines, 10 to 90 degrees two-theta, in order of rising 2θ:
| d (Å) | Rel. int. |
| --- | --- |
| 3.689 | 389 |
| 3.499 | 590 |
| 3.300 | 942 |
| 2.539 | 405 |
| 2.401 | 1000 |
| 2.333 | 204 |
| 2.091 | 231 |
| 1.941 | 281 |
| 1.789 | 379 |
| 1.593 | 402 |
| 1.546 | 212 |
| 1.251 | 231 |